Diffraction record for Ti3W2. The X-ray powder pattern is computed, not measured: it uses a GGA-PBE-relaxed structure and CuKα.
Peak positions follow from Bragg's law for the DFT cell and can differ from measured ones.

Peak list (10 most intense, 5° ≤ 2θ ≤ 70°, in order of rising 2θ)
2θ 22.75, I = 72; 2θ 27.90, I = 39; 2θ 38.00, I = 71; 2θ 38.36, I = 100; 2θ 38.93, I = 17; 2θ 40.60, I = 85; 2θ 47.29, I = 55; 2θ 54.86, I = 15; 2θ 62.19, I = 24; 2θ 65.88, I = 20

Structure:
```
Ti3W2
1.0
0.0000 4.7390 6.9088
2.5159 0.0000 6.9088
2.5159 4.7390 0.0000
Ti W
6 4
direct
0.0240 0.0240 0.2260
0.2260 0.2260 0.0240
0.3750 0.3750 0.3750
0.6250 0.6250 0.6250
0.7740 0.7740 0.9760
0.9760 0.9760 0.7740
0.1735 0.1735 0.5765
0.4235 0.4235 0.8265
0.5765 0.5765 0.1735
0.8265 0.8265 0.4235
```